Record 1
Diffraction record for Pm2Si3HgPt4. The powder X-ray diffraction pattern is theoretical, not measured: it uses a DFT-relaxed cell (GGA-PBE, Alexandria) and a wavelength of 1.5418 Å.

Cell and atoms:
a b c (Å): 4.2773 4.2773 10.4144
angles (deg): 90.00 90.00 90.00
Space group P-4m2 (No. 115)
Inequivalent atoms, fractional coordinates:
Pm: 0.0000 0.5000 0.2466 x2
Si: 0.0000 0.5000 0.8793 x2
Si: 0.5000 0.5000 0.5000 x1
Hg: 0.0000 0.0000 0.5000 x1
Pt: 0.0000 0.0000 0.0000 x1
Pt: 0.0000 0.5000 0.6560 x2
Pt: 0.5000 0.5000 0.0000 x1

Main lines, by angle (2θ = 10–80°):
index  d/Å  2θ/deg  I_rel
1 0 2  3.305  26.98  21
1 1 1  2.905  30.78  12
1 0 3  2.695  33.24  20
1 1 2  2.615  34.29  100
2 0 0  2.139  42.26  46
1 1 4  1.973  46.00  17
1 0 5  1.873  48.62  18
2 2 0  1.512  61.30  16
2 1 5  1.409  66.35  14
3 1 2  1.309  72.17  27

Record 2
Diffraction record for PmPu2Hg8. The powder X-ray diffraction pattern is theoretical, not measured: it uses a DFT-relaxed cell (GGA-PBE, Alexandria) and a wavelength of 1.5418 Å.

Cell and atoms:
a b c (Å): 5.2521 7.4980 14.6192
angles (deg): 90.00 90.00 90.00
Space group Immm (No. 71)
Inequivalent atoms, fractional coordinates:
Pm: 0.0000 0.0000 0.0000 x2
Pu: 0.0000 0.0000 0.3033 x4
Hg: 0.0000 0.2077 0.5000 x4
Hg: 0.0000 0.2942 0.1449 x8
Hg: 0.0000 0.5000 0.3430 x4

Main lines, by angle (2θ = 10–80°):
index  d/Å  2θ/deg  I_rel
1 1 4  2.785  32.14  23
2 0 0  2.626  34.14  35
1 2 3  2.586  34.69  100
1 0 5  2.555  35.13  12
0 0 6  2.437  36.89  16
2 0 6  1.786  51.14  13
0 3 7  1.603  57.51  9
3 2 3  1.508  61.47  20
2 3 7  1.368  68.60  11
1 5 4  1.341  70.16  10

Record 3
Diffraction record for Rb2PmHg2Te4. The powder X-ray diffraction pattern is theoretical, not measured: it uses a DFT-relaxed cell (GGA-PBE, Alexandria) and a wavelength of 1.5418 Å.

Cell and atoms:
a b c (Å): 17.4360 4.7548 8.7170
angles (deg): 90.00 110.04 90.00
Space group C2/m (No. 12)
Inequivalent atoms, fractional coordinates:
Rb: 0.1329 0.0000 0.0838 x4
Pm: 0.0000 0.0000 0.5000 x2
Hg: 0.1689 0.5000 0.4722 x4
Te: 0.0013 0.5000 0.7487 x4
Te: 0.1947 0.0000 0.6890 x4

Main lines, by angle (2θ = 10–80°):
index  d/Å  2θ/deg  I_rel
0 0 1  8.189  10.80  100
3 1 -1  3.595  24.76  22
1 1 -2  3.204  27.84  37
3 1 -2  3.060  29.18  65
3 1 1  3.043  29.35  50
6 0 -1  2.906  30.76  33
6 0 0  2.730  32.81  33
3 1 -3  2.454  36.62  21
3 1 2  2.439  36.85  36
0 2 0  2.378  37.84  37

Record 4
Diffraction record for Pm4HgRh3. The powder X-ray diffraction pattern is theoretical, not measured: it uses a DFT-relaxed cell (GGA-PBE, Alexandria) and a wavelength of 1.5418 Å.

Cell and atoms:
a b c (Å): 5.0420 5.0420 7.2850
angles (deg): 90.00 90.00 90.00
Space group P4/mmm (No. 123)
Inequivalent atoms, fractional coordinates:
Pm: 0.0000 0.5000 0.2376 x4
Hg: 0.0000 0.0000 0.5000 x1
Rh: 0.0000 0.0000 0.0000 x1
Rh: 0.5000 0.5000 0.0000 x1
Rh: 0.5000 0.5000 0.5000 x1

Main lines, by angle (2θ = 10–80°):
index  d/Å  2θ/deg  I_rel
1 0 1  4.146  21.43  2
1 1 1  3.202  27.86  3
1 1 2  2.548  35.22  100
2 0 0  2.521  35.61  49
0 0 4  1.821  50.09  9
2 2 0  1.783  51.25  17
2 0 4  1.476  62.96  18
3 1 2  1.461  63.71  36
2 2 4  1.274  74.48  11
4 0 0  1.261  75.41  6

Record 5
Diffraction record for Pm5Hg2Rh2. The powder X-ray diffraction pattern is theoretical, not measured: it uses a DFT-relaxed cell (GGA-PBE, Alexandria) and a wavelength of 1.5418 Å.

Cell and atoms:
a b c (Å): 16.0874 7.5976 7.9647
angles (deg): 90.00 90.00 90.00
Space group Cmce (No. 64)
Inequivalent atoms, fractional coordinates:
Pm: 0.0000 0.0000 0.0000 x4
Pm: 0.1221 0.1693 0.3270 x16
Hg: 0.2140 0.0000 0.0000 x8
Rh: 0.0000 0.1307 0.6316 x8

Main lines, by angle (2θ = 10–80°):
index  d/Å  2θ/deg  I_rel
3 1 2  2.947  30.33  75
4 0 2  2.830  31.62  88
5 1 1  2.777  32.24  88
4 2 0  2.762  32.42  78
0 2 2  2.749  32.58  85
4 2 1  2.609  34.37  100
1 1 3  2.476  36.28  75
1 3 1  2.387  37.69  65
5 1 2  2.377  37.85  50
5 3 3  1.592  57.91  46

Record 6
Diffraction record for Pm5Hg4Rh. The powder X-ray diffraction pattern is theoretical, not measured: it uses a DFT-relaxed cell (GGA-PBE, Alexandria) and a wavelength of 1.5418 Å.

Cell and atoms:
a b c (Å): 3.7184 3.7184 19.1067
angles (deg): 90.00 90.00 90.00
Space group P4/mmm (No. 123)
Inequivalent atoms, fractional coordinates:
Pm: 0.0000 0.0000 0.0000 x1
Pm: 0.0000 0.0000 0.2065 x2
Pm: 0.0000 0.0000 0.4147 x2
Hg: 0.5000 0.5000 0.1032 x2
Hg: 0.5000 0.5000 0.3071 x2
Rh: 0.5000 0.5000 0.5000 x1

Main lines, by angle (2θ = 10–80°):
index  d/Å  2θ/deg  I_rel
1 0 4  2.934  30.47  5
1 0 5  2.665  33.63  100
1 1 0  2.629  34.10  51
0 0 10  1.911  47.59  8
2 0 0  1.859  48.99  19
1 1 10  1.546  59.84  16
2 1 5  1.525  60.74  37
2 0 10  1.332  70.70  10
2 2 0  1.315  71.80  6
1 0 15  1.205  79.55  5